The following is a calculated X-ray diffraction stick pattern of PmTaAsO. It was derived from DFT lattice parameters and positions (GGA-PBE), using Cu Kα (λ = 1.5418 Å).
Intensities are scaled so that the largest is 100.

Structural model:
Unit cell a=4.158 b=4.937 c=6.952 alpha=90.00 beta=90.00 gamma=90.00
Space group Pmc2_1 (No. 26)
Symmetry-distinct sites (fractional):
Pm: 0.000 0.174 0.000 x2
Ta: 0.500 0.356 0.347 x2
As: 0.500 0.152 0.697 x2
O: 0.000 0.357 0.345 x2

Peak list (10 most intense, 10 to 90 degrees two-theta, by angle)
| index | 2θ (°) | d [Å] | I/Imax |
| --- | --- | --- | --- |
| 1 1 1 | 30.92 | 2.892 | 100 |
| 0 1 2 | 31.48 | 2.842 | 23 |
| 1 0 2 | 33.60 | 2.667 | 61 |
| 1 1 2 | 38.36 | 2.346 | 21 |
| 0 2 1 | 38.71 | 2.326 | 48 |
| 0 1 3 | 43.12 | 2.098 | 44 |
| 2 0 0 | 43.53 | 2.079 | 33 |
| 1 2 1 | 44.64 | 2.030 | 30 |
| 2 2 1 | 59.65 | 1.550 | 27 |
| 2 1 3 | 62.94 | 1.477 | 29 |

=====

The following is a calculated X-ray diffraction stick pattern of Be2Ni3Au. It was derived from DFT lattice parameters and positions (GGA-PBE), using Cu Kα (λ = 1.5418 Å).
Intensities are scaled so that the largest is 100.

Structural model:
Unit cell a=2.685 b=2.685 c=8.996 alpha=90.00 beta=90.00 gamma=90.00
Space group P4mm (No. 99)
Symmetry-distinct sites (fractional):
Be: 0.000 0.000 0.000 x1
Be: 0.500 0.500 0.448 x1
Ni: 0.000 0.000 0.317 x1
Ni: 0.500 0.500 0.139 x1
Ni: 0.500 0.500 0.859 x1
Au: 0.000 0.000 0.636 x1

Peak list (10 most intense, 10 to 90 degrees two-theta, by angle)
| index | 2θ (°) | d [Å] | I/Imax |
| --- | --- | --- | --- |
| 0 0 2 | 19.74 | 4.498 | 40 |
| 1 0 1 | 34.88 | 2.573 | 90 |
| 1 0 2 | 39.07 | 2.305 | 27 |
| 0 0 4 | 40.09 | 2.249 | 25 |
| 1 0 3 | 45.34 | 2.000 | 100 |
| 1 1 0 | 47.92 | 1.898 | 49 |
| 1 1 4 | 64.20 | 1.451 | 24 |
| 2 1 1 | 80.75 | 1.190 | 16 |
| 1 0 7 | 83.35 | 1.159 | 20 |
| 2 1 3 | 87.52 | 1.115 | 30 |

=====

The following is a calculated X-ray diffraction stick pattern of Fe7Co2. It was derived from DFT lattice parameters and positions (GGA-PBE), using Cu Kα (λ = 1.5418 Å).
Intensities are scaled so that the largest is 100.

Structural model:
Unit cell a=4.0069 b=4.0069 c=7.3820 alpha=90.00 beta=90.00 gamma=120.00
Space group P-3m1 (No. 164)
Symmetry-distinct sites (fractional):
Fe: 0.0000 0.0000 0.0000 x1
Fe: 0.0000 0.0000 0.3320 x2
Fe: 0.3333 0.6667 0.5526 x2
Fe: 0.3333 0.6667 0.8893 x2
Co: 0.3333 0.6667 0.2220 x2

Peak list (4 most intense, 10 to 90 degrees two-theta, by angle)
| index | 2θ (°) | d [Å] | I/Imax |
| --- | --- | --- | --- |
| 1 1 0 | 45.22 | 2.005 | 100 |
| 0 2 3 | 65.87 | 1.418 | 15 |
| 0 1 6 | 83.34 | 1.160 | 7 |
| 3 0 0 | 83.55 | 1.157 | 21 |

=====

The following is a calculated X-ray diffraction stick pattern of Cu5Ag4. It was derived from DFT lattice parameters and positions (GGA-PBE), using Cu Kα (λ = 1.5418 Å).
Intensities are scaled so that the largest is 100.

Structural model:
Unit cell a=14.064 b=2.778 c=6.704 alpha=90.00 beta=91.59 gamma=90.00
Space group C2/m (No. 12)
Symmetry-distinct sites (fractional):
Cu: 0.000 0.000 0.000 x2
Cu: 0.118 0.000 0.660 x4
Cu: 0.228 0.000 0.347 x4
Ag: 0.056 0.500 0.333 x4
Ag: 0.164 0.500 0.994 x4

Peak list (10 most intense, 10 to 90 degrees two-theta, by angle)
| index | 2θ (°) | d [Å] | I/Imax |
| --- | --- | --- | --- |
| 3 1 1 | 40.24 | 2.241 | 100 |
| 0 0 3 | 40.40 | 2.232 | 98 |
| 3 1 -2 | 46.35 | 1.959 | 65 |
| 6 0 2 | 47.99 | 1.896 | 28 |
| 0 2 0 | 67.42 | 1.389 | 10 |
| 3 1 4 | 68.93 | 1.362 | 35 |
| 0 2 3 | 81.61 | 1.180 | 12 |
| 6 2 -1 | 81.65 | 1.179 | 11 |
| 3 1 -5 | 81.95 | 1.176 | 23 |
| 9 1 3 | 84.18 | 1.150 | 15 |

=====

The following is a calculated X-ray diffraction stick pattern of Te8Pd. It was derived from DFT lattice parameters and positions (GGA-PBE), using Cu Kα (λ = 1.5418 Å).
Intensities are scaled so that the largest is 100.

Structural model:
Unit cell a=8.7309 b=8.7309 c=3.9875 alpha=90.00 beta=90.00 gamma=120.00
Space group P-62m (No. 189)
Symmetry-distinct sites (fractional):
Te: 0.0000 0.2122 0.0000 x3
Te: 0.0000 0.5288 0.5000 x3
Te: 0.3333 0.6667 0.0000 x2
Pd: 0.0000 0.0000 0.5000 x1

Peak list (10 most intense, 10 to 90 degrees two-theta, by angle)
| index | 2θ (°) | d [Å] | I/Imax |
| --- | --- | --- | --- |
| 2 0 0 | 23.53 | 3.781 | 15 |
| 1 1 1 | 30.36 | 2.944 | 31 |
| 2 1 0 | 31.30 | 2.858 | 50 |
| 2 0 1 | 32.64 | 2.743 | 100 |
| 2 1 1 | 38.77 | 2.323 | 30 |
| 2 2 0 | 41.37 | 2.183 | 18 |
| 0 0 2 | 45.50 | 1.994 | 17 |
| 2 1 2 | 56.26 | 1.635 | 19 |
| 4 1 1 | 60.75 | 1.525 | 17 |
| 4 2 1 | 69.93 | 1.345 | 16 |

=====

The following is a calculated X-ray diffraction stick pattern of RbCoAgTe2Se. It was derived from DFT lattice parameters and positions (GGA-PBE), using Cu Kα (λ = 1.5418 Å).
Intensities are scaled so that the largest is 100.

Structural model:
Unit cell a=3.896 b=16.245 c=10.641 alpha=90.00 beta=90.00 gamma=90.00
Space group Cmcm (No. 63)
Symmetry-distinct sites (fractional):
Rb: 0.000 0.244 0.250 x4
Co: 0.000 0.000 0.000 x4
Ag: 0.000 0.455 0.750 x4
Te: 0.000 0.394 0.513 x8
Se: 0.000 0.065 0.750 x4

Peak list (10 most intense, 10 to 90 degrees two-theta, by angle)
| index | 2θ (°) | d [Å] | I/Imax |
| --- | --- | --- | --- |
| 0 2 0 | 10.89 | 8.122 | 100 |
| 1 1 0 | 23.48 | 3.788 | 28 |
| 0 4 2 | 27.63 | 3.228 | 55 |
| 1 3 1 | 29.47 | 3.031 | 81 |
| 1 3 2 | 32.95 | 2.718 | 42 |
| 0 0 4 | 33.69 | 2.660 | 67 |
| 1 5 2 | 39.91 | 2.259 | 57 |
| 2 0 0 | 46.63 | 1.948 | 27 |
| 1 3 5 | 51.78 | 1.766 | 26 |
| 2 0 4 | 58.75 | 1.572 | 26 |

=====

The following is a calculated X-ray diffraction stick pattern of Cs2NdErO4. It was derived from DFT lattice parameters and positions (GGA-PBE), using Cu Kα (λ = 1.5418 Å).
Intensities are scaled so that the largest is 100.

Structural model:
Unit cell a=3.5758 b=3.5758 c=13.5986 alpha=90.00 beta=90.00 gamma=120.00
Space group P-3m1 (No. 164)
Symmetry-distinct sites (fractional):
Cs: 0.3333 0.6667 0.2464 x2
Nd: 0.0000 0.0000 0.5000 x1
Er: 0.0000 0.0000 0.0000 x1
O: 0.3333 0.6667 0.5897 x2
O: 0.3333 0.6667 0.9203 x2

Peak list (10 most intense, 10 to 90 degrees two-theta, by angle)
| index | 2θ (°) | d [Å] | I/Imax |
| --- | --- | --- | --- |
| 0 0 4 | 26.21 | 3.400 | 43 |
| 0 1 1 | 29.59 | 3.019 | 26 |
| 0 1 2 | 31.75 | 2.818 | 100 |
| 1 0 3 | 35.09 | 2.557 | 34 |
| 0 1 6 | 49.86 | 1.829 | 34 |
| 1 1 0 | 51.09 | 1.788 | 29 |
| 1 1 4 | 58.31 | 1.582 | 29 |
| 2 0 2 | 61.41 | 1.510 | 15 |
| 1 1 8 | 77.48 | 1.232 | 13 |
| 1 2 2 | 83.88 | 1.153 | 13 |

=====

The following is a calculated X-ray diffraction stick pattern of Hf3Ni2Sb2. It was derived from DFT lattice parameters and positions (GGA-PBE), using Cu Kα (λ = 1.5418 Å).
Intensities are scaled so that the largest is 100.

Structural model:
Unit cell a=4.6357 b=4.6357 c=23.3889 alpha=90.00 beta=90.00 gamma=120.00
Space group R3m (No. 160, hexagonal axes)
Symmetry-distinct sites (fractional):
Hf: 0.0000 0.0000 0.0000 x3
Hf: 0.0000 0.0000 0.2406 x3
Hf: 0.0000 0.0000 0.7449 x3
Ni: 0.0000 0.0000 0.3521 x3
Ni: 0.0000 0.0000 0.8634 x3
Sb: 0.0000 0.0000 0.1237 x3
Sb: 0.0000 0.0000 0.6143 x3

Peak list (10 most intense, 10 to 90 degrees two-theta, by angle)
| index | 2θ (°) | d [Å] | I/Imax |
| --- | --- | --- | --- |
| 0 0 3 | 11.35 | 7.796 | 18 |
| 1 0 1 | 22.47 | 3.957 | 16 |
| 0 1 2 | 23.43 | 3.797 | 25 |
| 0 1 8 | 38.08 | 2.363 | 96 |
| 1 1 0 | 38.85 | 2.318 | 100 |
| 2 0 8 | 55.53 | 1.655 | 32 |
| 1 0 16 | 68.28 | 1.374 | 13 |
| 1 2 8 | 69.84 | 1.347 | 32 |
| 3 0 0 | 70.35 | 1.338 | 18 |
| 2 2 0 | 83.39 | 1.159 | 12 |

=====

The following is a calculated X-ray diffraction stick pattern of PrSmS4. It was derived from DFT lattice parameters and positions (GGA-PBE), using Cu Kα (λ = 1.5418 Å).
Intensities are scaled so that the largest is 100.

Structural model:
Unit cell a=3.959 b=3.959 c=8.199 alpha=90.00 beta=90.00 gamma=90.00
Space group P4mm (No. 99)
Symmetry-distinct sites (fractional):
Pr: 0.000 0.000 0.000 x1
Sm: 0.500 0.500 0.547 x1
S: 0.000 0.000 0.638 x1
S: 0.000 0.500 0.277 x2
S: 0.500 0.500 0.902 x1

Peak list (10 most intense, 10 to 90 degrees two-theta, by angle)
| index | 2θ (°) | d [Å] | I/Imax |
| --- | --- | --- | --- |
| 0 0 2 | 21.68 | 4.100 | 29 |
| 1 0 1 | 24.97 | 3.565 | 100 |
| 1 1 0 | 31.97 | 2.800 | 40 |
| 1 1 1 | 33.83 | 2.649 | 19 |
| 1 1 2 | 38.96 | 2.312 | 68 |
| 1 0 3 | 40.09 | 2.249 | 47 |
| 2 0 0 | 45.84 | 1.980 | 30 |
| 2 1 1 | 52.90 | 1.731 | 27 |
| 2 1 3 | 62.50 | 1.486 | 25 |
| 3 1 2 | 80.15 | 1.197 | 16 |

=====

The following is a calculated X-ray diffraction stick pattern of Ta3Co3Bi2. It was derived from DFT lattice parameters and positions (GGA-PBE), using Cu Kα (λ = 1.5418 Å).
Intensities are scaled so that the largest is 100.

Structural model:
Unit cell a=3.627 b=3.627 c=12.975 alpha=90.00 beta=90.00 gamma=90.00
Space group P-4m2 (No. 115)
Symmetry-distinct sites (fractional):
Ta: 0.000 0.000 0.000 x1
Ta: 0.000 0.000 0.500 x1
Ta: 0.500 0.500 0.000 x1
Co: 0.500 0.500 0.336 x2
Co: 0.500 0.500 0.500 x1
Bi: 0.000 0.500 0.813 x2

Peak list (10 most intense, 10 to 90 degrees two-theta, by angle)
| index | 2θ (°) | d [Å] | I/Imax |
| --- | --- | --- | --- |
| 0 0 2 | 13.65 | 6.487 | 27 |
| 1 0 1 | 25.50 | 3.493 | 58 |
| 1 0 2 | 28.19 | 3.166 | 36 |
| 1 0 4 | 37.19 | 2.418 | 31 |
| 1 1 2 | 37.72 | 2.385 | 100 |
| 1 1 3 | 40.91 | 2.206 | 45 |
| 0 0 6 | 41.77 | 2.162 | 28 |
| 1 1 4 | 45.06 | 2.012 | 25 |
| 2 0 0 | 50.31 | 1.814 | 41 |
| 2 0 6 | 67.39 | 1.390 | 27 |

=====

The following is a calculated X-ray diffraction stick pattern of CsRe3O6F10. It was derived from DFT lattice parameters and positions (GGA-PBE), using Cu Kα (λ = 1.5418 Å).
Intensities are scaled so that the largest is 100.

Structural model:
Unit cell a=6.690 b=9.331 c=9.919 alpha=113.49 beta=91.41 gamma=92.06
Space group P-1 (No. 2)
Symmetry-distinct sites (fractional):
Cs: 0.195 0.208 0.123 x2
Re: 0.238 0.473 0.664 x2
Re: 0.264 0.723 0.121 x2
Re: 0.270 0.881 0.627 x2
O: 0.217 0.404 0.477 x2
O: 0.256 0.849 0.300 x2
O: 0.304 0.315 0.695 x2
O: 0.324 0.549 0.126 x2
O: 0.349 0.034 0.586 x2
O: 0.378 0.726 0.495 x2
F: 0.014 0.327 0.911 x2
F: 0.014 0.845 0.533 x2
F: 0.036 0.539 0.303 x2
F: 0.118 0.990 0.800 x2
F: 0.156 0.696 0.691 x2
F: 0.206 0.876 0.037 x2
F: 0.250 0.596 0.888 x2
F: 0.470 0.906 0.773 x2
F: 0.472 0.227 0.913 x2
F: 0.492 0.572 0.687 x2

Peak list (10 most intense, 10 to 90 degrees two-theta, by angle)
| index | 2θ (°) | d [Å] | I/Imax |
| --- | --- | --- | --- |
| 1 -1 0 | 16.43 | 5.395 | 25 |
| 1 -2 1 | 22.95 | 3.875 | 84 |
| 1 0 -2 | 23.20 | 3.834 | 100 |
| 1 2 -1 | 23.67 | 3.759 | 80 |
| 1 0 2 | 24.15 | 3.685 | 92 |
| 0 2 1 | 26.36 | 3.381 | 54 |
| 2 0 0 | 26.69 | 3.340 | 64 |
| 0 2 -3 | 28.50 | 3.132 | 42 |
| 2 2 1 | 38.92 | 2.314 | 22 |
| 3 0 -2 | 44.55 | 2.034 | 21 |

=====

The following is a calculated X-ray diffraction stick pattern of Pr2GdTa2P6. It was derived from DFT lattice parameters and positions (GGA-PBE), using Cu Kα (λ = 1.5418 Å).
Intensities are scaled so that the largest is 100.

Structural model:
Unit cell a=4.723 b=4.723 c=22.865 alpha=90.00 beta=90.00 gamma=90.00
Space group I4/mmm (No. 139)
Symmetry-distinct sites (fractional):
Pr: 0.000 0.000 0.168 x4
Gd: 0.000 0.000 0.000 x2
Ta: 0.000 0.000 0.397 x4
P: 0.000 0.000 0.295 x4
P: 0.000 0.500 0.078 x8

Peak list (10 most intense, 10 to 90 degrees two-theta, by angle)
| index | 2θ (°) | d [Å] | I/Imax |
| --- | --- | --- | --- |
| 0 0 4 | 15.50 | 5.716 | 25 |
| 1 1 0 | 26.69 | 3.339 | 78 |
| 1 0 5 | 27.14 | 3.285 | 100 |
| 1 0 7 | 33.35 | 2.686 | 26 |
| 2 0 0 | 38.11 | 2.361 | 54 |
| 1 0 9 | 40.31 | 2.237 | 23 |
| 2 1 5 | 47.41 | 1.917 | 45 |
| 2 2 0 | 54.99 | 1.670 | 19 |
| 2 1 9 | 56.68 | 1.624 | 17 |
| 3 1 0 | 62.16 | 1.493 | 15 |

=====

The following is a calculated X-ray diffraction stick pattern of Li2Sc2InGaAg2. It was derived from DFT lattice parameters and positions (GGA-PBE), using Cu Kα (λ = 1.5418 Å).
Intensities are scaled so that the largest is 100.

Structural model:
Unit cell a=4.640 b=4.640 c=6.580 alpha=90.00 beta=90.00 gamma=90.00
Space group P-4m2 (No. 115)
Symmetry-distinct sites (fractional):
Li: 0.000 0.500 0.240 x2
Sc: 0.000 0.000 0.000 x1
Sc: 0.500 0.500 0.500 x1
In: 0.000 0.000 0.500 x1
Ga: 0.500 0.500 0.000 x1
Ag: 0.000 0.500 0.760 x2

Peak list (10 most intense, 10 to 90 degrees two-theta, by angle)
| index | 2θ (°) | d [Å] | I/Imax |
| --- | --- | --- | --- |
| 1 0 1 | 23.46 | 3.792 | 53 |
| 2 0 0 | 38.78 | 2.322 | 100 |
| 2 1 1 | 45.82 | 1.980 | 26 |
| 0 0 4 | 55.89 | 1.645 | 5 |
| 2 2 0 | 56.06 | 1.641 | 11 |
| 3 0 1 | 61.54 | 1.507 | 10 |
| 2 0 4 | 70.13 | 1.342 | 10 |
| 3 1 2 | 70.24 | 1.340 | 21 |
| 3 2 1 | 75.21 | 1.263 | 6 |
| 2 2 4 | 83.16 | 1.162 | 6 |

=====

The following is a calculated X-ray diffraction stick pattern of SmTmC2Cl2. It was derived from DFT lattice parameters and positions (GGA-PBE), using Cu Kα (λ = 1.5418 Å).
Intensities are scaled so that the largest is 100.

Structural model:
Unit cell a=6.973 b=3.745 c=10.718 alpha=90.00 beta=95.33 gamma=90.00
Space group Cm (No. 8)
Symmetry-distinct sites (fractional):
Sm: 0.000 0.000 0.000 x2
Tm: 0.208 0.500 0.722 x2
C: 0.280 0.000 0.889 x2
C: 0.427 0.000 0.817 x2
Cl: 0.038 0.000 0.567 x2
Cl: 0.180 0.500 0.165 x2

Peak list (10 most intense, 10 to 90 degrees two-theta, by angle)
| index | 2θ (°) | d [Å] | I/Imax |
| --- | --- | --- | --- |
| 0 0 3 | 25.03 | 3.557 | 28 |
| 1 1 0 | 27.05 | 3.296 | 50 |
| 1 1 -1 | 27.97 | 3.189 | 56 |
| 2 0 -2 | 29.36 | 3.042 | 74 |
| 1 1 -2 | 31.26 | 2.861 | 38 |
| 2 0 2 | 32.04 | 2.794 | 27 |
| 1 1 2 | 32.55 | 2.751 | 100 |
| 1 1 3 | 38.03 | 2.366 | 52 |
| 1 1 -4 | 42.65 | 2.120 | 36 |
| 3 1 0 | 46.11 | 1.969 | 37 |